1.
Calculated PXRD pattern of GeBOs for Cu Kα, 1.54184 Å, from the PBE geometry in Alexandria.

The 6 most intense peaks (15° ≤ 2θ ≤ 90°), by angle:
d/Å  I (rel.)  h k l
4.818  40  0 0 1
3.271  74  2 0 0
3.129  50  1 1 -1
2.642  36  0 2 0
2.079  100  1 1 -2
1.890  36  2 2 1

Structural model:
```
data_GeBOs
_symmetry_space_group_name_H-M 'C 1 2 1'
_symmetry_Int_Tables_number 5
_cell_length_a 6.5415
_cell_length_b 5.2848
_cell_length_c 4.8179
_cell_angle_alpha 90.00
_cell_angle_beta 90.17
_cell_angle_gamma 90.00
loop_
_symmetry_equiv_pos_as_xyz
'x,y,z'
'-x,y,-z'
'x+1/2,y+1/2,z'
'-x+1/2,y+1/2,-z'
loop_
_atom_site_label
_atom_site_fract_x
_atom_site_fract_y
_atom_site_fract_z
Ge1 0.1954 0.0000 0.0992
B1 0.0000 0.4509 0.5000
B2 0.0000 0.7923 0.5000
Os1 0.2058 0.1297 0.6042
```



2.
Calculated PXRD pattern of BaLiAl3P2H2O14 for Cu Kα, 1.54184 Å, from the PBE geometry in Alexandria.

The 6 most intense peaks (15° ≤ 2θ ≤ 90°), by angle:
d/Å  I (rel.)  h k l
5.713  98  1 0 0
5.522  100  1 1 1
3.559  43  1 2 1
3.273  69  2 1 1
3.240  40  -1 1 1
3.136  54  1 2 2

Structural model:
```
data_BaLiAl3P2H2O14
_symmetry_space_group_name_H-M 'P 1'
_symmetry_Int_Tables_number 1
_cell_length_a 6.5466
_cell_length_b 7.1795
_cell_length_c 7.5906
_cell_angle_alpha 63.41
_cell_angle_beta 66.35
_cell_angle_gamma 64.62
loop_
_symmetry_equiv_pos_as_xyz
'x,y,z'
loop_
_atom_site_label
_atom_site_fract_x
_atom_site_fract_y
_atom_site_fract_z
Ba1 0.0000 0.0000 0.0000
Li1 0.4398 0.5976 0.1938
Al1 0.0867 0.4276 0.5063
Al2 0.0966 0.9252 0.5057
Al3 0.5867 0.9247 0.5193
P1 0.3700 0.2341 0.1453
P2 0.8241 0.6193 0.8657
H1 0.4061 0.6363 0.6626
H2 0.7804 0.2102 0.3635
O1 0.0734 0.1466 0.5943
O2 0.1219 0.7117 0.4027
O3 0.2026 0.0928 0.2269
O4 0.2455 0.4283 0.2381
O5 0.3005 0.1453 0.6123
O6 0.4053 0.7662 0.5382
O7 0.4573 0.3160 0.9178
O8 0.5801 0.0816 0.2467
O9 0.5960 0.7638 0.7907
O10 0.7603 0.5214 0.0969
O11 0.7859 0.0760 0.4820
O12 0.8863 0.7087 0.4035
O13 0.9576 0.4316 0.7699
O14 0.9831 0.7672 0.7842
```



3.
Calculated PXRD pattern of Mg2Nb2TeO8 for Cu Kα, 1.54184 Å, from the PBE geometry in Alexandria.

The 6 most intense peaks (15° ≤ 2θ ≤ 90°), by angle:
d/Å  I (rel.)  h k l
4.908  85  0 1 -1
4.564  48  0 1 2
3.687  89  1 -1 1
3.574  100  1 1 2
3.445  65  1 1 -1
2.906  43  1 1 -2

Structural model:
```
data_Mg2Nb2TeO8
_symmetry_space_group_name_H-M 'P -1'
_symmetry_Int_Tables_number 2
_cell_length_a 5.2091
_cell_length_b 6.1505
_cell_length_c 11.4258
_cell_angle_alpha 78.59
_cell_angle_beta 83.28
_cell_angle_gamma 89.73
loop_
_symmetry_equiv_pos_as_xyz
'x,y,z'
'-x,-y,-z'
loop_
_atom_site_label
_atom_site_fract_x
_atom_site_fract_y
_atom_site_fract_z
Mg1 0.2367 0.1036 0.0308
Mg2 0.2541 0.6213 0.9550
Nb1 0.2078 0.5269 0.2206
Nb2 0.3115 0.1579 0.7598
Te1 0.1770 0.8388 0.5189
O1 0.0049 0.2573 0.6889
O2 0.0257 0.2756 0.3251
O3 0.0630 0.3815 0.8994
O4 0.1445 0.9318 0.8952
O5 0.3627 0.3633 0.0995
O6 0.4212 0.8231 0.1118
O7 0.4732 0.9986 0.6515
O8 0.4972 0.5497 0.3082
```



4.
Calculated PXRD pattern of Y3Cu8Sn for Cu Kα, 1.54184 Å, from the PBE geometry in Alexandria.

The 6 most intense peaks (15° ≤ 2θ ≤ 90°), by angle:
d/Å  I (rel.)  h k l
2.614  26  0 1 8
2.606  27  1 1 0
2.230  33  1 0 10
2.224  100  2 0 2
2.129  29  0 2 4
1.420  30  3 0 6

Structural model:
```
data_Y3Cu8Sn
_symmetry_space_group_name_H-M 'R 3 m'
_symmetry_Int_Tables_number 160
_symmetry_space_group_name_Hall 'R 3 -2"'
_cell_length_a 5.2116
_cell_length_b 5.2116
_cell_length_c 25.6569
_cell_angle_alpha 90.00
_cell_angle_beta 90.00
_cell_angle_gamma 120.00
loop_
_atom_site_label
_atom_site_fract_x
_atom_site_fract_y
_atom_site_fract_z
Y1 0.0000 0.0000 0.0000
Y2 0.0000 0.0000 0.1249
Y3 0.0000 0.0000 0.5062
Cu1 0.0000 0.0000 0.3144
Cu2 0.0000 0.0000 0.8146
Cu3 0.0010 0.5005 0.0652
Cu4 0.1688 0.3375 0.8969
Sn1 0.0000 0.0000 0.6303
```



5.
Calculated PXRD pattern of Na2PuCuAs2 for Cu Kα, 1.54184 Å, from the PBE geometry in Alexandria.

The 6 most intense peaks (15° ≤ 2θ ≤ 90°), by angle:
d/Å  I (rel.)  h k l
2.769  35  1 2 1
2.720  38  0 2 2
2.618  100  1 1 2
2.341  42  1 3 0
2.300  46  1 2 2
2.157  31  2 0 0

Structural model:
```
data_Na2PuCuAs2
_symmetry_space_group_name_H-M 'P m c 21'
_symmetry_Int_Tables_number 26
_cell_length_a 4.3147
_cell_length_b 8.3597
_cell_length_c 7.1643
_cell_angle_alpha 90.00
_cell_angle_beta 90.00
_cell_angle_gamma 90.00
loop_
_symmetry_equiv_pos_as_xyz
'x,y,z'
'-x,-y,z+1/2'
'-x,y,z'
'x,-y,z+1/2'
loop_
_atom_site_label
_atom_site_fract_x
_atom_site_fract_y
_atom_site_fract_z
Na1 0.0000 0.0882 0.0000
Na2 0.5000 0.1498 0.3318
Pu1 0.5000 0.4603 0.9824
Cu1 0.0000 0.3170 0.6400
As1 0.0000 0.3869 0.2606
As2 0.5000 0.1899 0.7276
```